Calculated powder XRD pattern
Compound: TlBi2PtAu
Radiation: CuKα
Structure: the PBE geometry in Alexandria
No peak broadening, texture or thermal motion is included.

Largest 12 diffraction maxima, sorted by position, 5° ≤ 2θ ≤ 70°:
- 14.45 deg, d 6.130, I 77, (0 0 1)
- 16.87 deg, d 5.257, I 21, (1 0 0)
- 22.28 deg, d 3.990, I 37, (1 0 1)
- 28.07 deg, d 3.178, I 59, (1 1 1)
- 33.85 deg, d 2.648, I 55, (1 0 2)
- 34.11 deg, d 2.628, I 100, (2 0 0)
- 37.22 deg, d 2.416, I 33, (2 0 1)
- 38.05 deg, d 2.365, I 54, (1 1 2)
- 48.82 deg, d 1.865, I 40, (2 1 2)
- 49.01 deg, d 1.859, I 37, (2 2 0)
- 51.00 deg, d 1.791, I 33, (1 1 3)
- 63.68 deg, d 1.461, I 25, (3 1 2)

Cell and atoms:
abc: 5.257 5.257 6.130
angles: 90.00 90.00 90.00
Space group P4mm (No. 99)
Symmetry-distinct sites (fractional):
Tl  0.000  0.000  0.000 [1 per cell]
Bi  0.000  0.500  0.405 [2 per cell]
Pt  0.000  0.000  0.550 [1 per cell]
Au  0.500  0.500  0.206 [1 per cell]


Calculated powder XRD pattern
Compound: PuBiSbAu
Radiation: CuKα
Structure: the PBE geometry in Alexandria
No peak broadening, texture or thermal motion is included.

Largest 12 diffraction maxima, sorted by position, 5° ≤ 2θ ≤ 70°:
- 19.19 deg, d 4.624, I 2, (0 1 0)
- 26.28 deg, d 3.391, I 2, (0 1 1)
- 27.27 deg, d 3.270, I 2, (1 0 1)
- 33.57 deg, d 2.670, I 100, (1 1 1)
- 36.01 deg, d 2.494, I 21, (0 0 2)
- 38.95 deg, d 2.312, I 17, (0 2 0)
- 41.72 deg, d 2.165, I 14, (2 0 0)
- 54.09 deg, d 1.696, I 13, (0 2 2)
- 56.27 deg, d 1.635, I 12, (2 0 2)
- 58.40 deg, d 1.580, I 11, (2 2 0)
- 63.19 deg, d 1.471, I 17, (1 1 3)
- 67.13 deg, d 1.394, I 14, (1 3 1)

Cell and atoms:
abc: 4.330 4.624 4.988
angles: 90.00 90.00 90.00
Space group Pmmm (No. 47)
Symmetry-distinct sites (fractional):
Pu  0.000  0.000  0.000 [1 per cell]
Bi  0.500  0.000  0.500 [1 per cell]
Sb  0.500  0.500  0.000 [1 per cell]
Au  0.000  0.500  0.500 [1 per cell]